No. 1
# VCuAg
Simulated XRD peak list, Cu Kα (weighted mean of Kα1 and Kα2). Input: a structure optimized by DFT (GGA-PBE).
Intensities are scaled so that the largest is 100.

Most intense lines, 10° ≤ 2θ ≤ 80°, in order of rising 2θ:
2theta  Rel. int.
20.30  20.8
36.39  41.8
38.17  43.2
40.79  64.8
41.06  78.6
41.28  82.5
43.22  100.0
44.00  44.1
44.27  57.4
58.12  20.9

```
6
Lattice="2.7359 0.0000 0.0000 -1.0113 5.1705 0.0000 -0.0965 -1.2123 6.2783" Properties=species:S:1:pos:R:3 pbc="T T T"
V 0.0000 0.0000 0.0000
V -0.1022 3.8781 1.3705
Cu -0.1775 -0.0458 3.8534
Cu 1.2867 1.1683 5.7946
Ag 0.1079 2.8048 4.0755
Ag 1.3568 1.4065 1.9944
```



No. 2
# NpTeCl2
Simulated XRD peak list, Cu Kα (weighted mean of Kα1 and Kα2). Input: a structure optimized by DFT (GGA-PBE).
Intensities are scaled so that the largest is 100.

Most intense lines, 10° ≤ 2θ ≤ 80°, in order of rising 2θ:
2theta  Rel. int.
12.52  61.3
16.14  28.5
20.37  54.3
25.65  27.0
31.35  100.0
33.33  14.9
39.06  24.3
43.21  39.4
43.67  18.5
61.40  19.2

```
16
Lattice="3.9306 0.0000 0.0000 0.0000 14.1362 0.0000 0.0000 0.0000 8.7210" Properties=species:S:1:pos:R:3 pbc="T T T"
Np 0.0000 3.2857 2.1803
Np 0.0000 10.8505 6.5408
Np 1.9653 3.7824 6.5408
Np 1.9653 10.3538 2.1803
Te 0.0000 6.0244 6.5408
Te 0.0000 8.1118 2.1803
Te 1.9653 1.0437 2.1803
Te 1.9653 13.0925 6.5408
Cl 0.0000 2.3961 5.0014
Cl 0.0000 2.3961 8.0802
Cl 0.0000 11.7402 0.6409
Cl 0.0000 11.7402 3.7197
Cl 1.9653 4.6720 0.6409
Cl 1.9653 4.6720 3.7197
Cl 1.9653 9.4642 5.0014
Cl 1.9653 9.4642 8.0802
```



No. 3
# ScPaCS
Simulated XRD peak list, Cu Kα (weighted mean of Kα1 and Kα2). Input: a structure optimized by DFT (GGA-PBE).
Intensities are scaled so that the largest is 100.

Most intense lines, 10° ≤ 2θ ≤ 80°, in order of rising 2θ:
2theta  Rel. int.
14.31  87.6
28.86  27.7
29.28  59.0
30.47  77.6
34.86  100.0
37.87  40.7
49.09  30.7
51.16  35.2
53.41  21.3
59.80  27.3

```
12
Lattice="3.5707 0.0000 0.0000 -1.7854 3.0924 0.0000 0.0000 0.0000 18.5622" Properties=species:S:1:pos:R:3 pbc="T T T"
Sc 0.0000 0.0000 0.0000
Sc 0.0000 2.0616 12.3748
Sc 1.7854 1.0308 6.1874
Pa 0.0000 0.0000 8.8059
Pa 0.0000 2.0616 2.6185
Pa 1.7854 1.0308 14.9933
C 0.0000 0.0000 13.6764
C 0.0000 2.0616 7.4891
C 1.7854 1.0308 1.3017
S 0.0000 0.0000 4.5531
S 0.0000 2.0616 16.9279
S 1.7854 1.0308 10.7405
```



No. 4
# La3Ce2S8
Simulated XRD peak list, Cu Kα (weighted mean of Kα1 and Kα2). Input: a structure optimized by DFT (GGA-PBE).
Intensities are scaled so that the largest is 100.

Most intense lines, 10° ≤ 2θ ≤ 80°, in order of rising 2θ:
2theta  Rel. int.
21.63  13.4
22.06  34.5
22.64  36.4
25.86  35.3
28.40  17.4
36.20  23.9
36.89  100.0
37.66  26.1
53.23  15.1
67.47  16.2

```
13
Lattice="4.9631 -6.9007 0.0000 4.9631 6.9007 0.0000 0.0000 0.0000 4.7772" Properties=species:S:1:pos:R:3 pbc="T T T"
La 0.0000 0.0000 0.0000
La 2.8123 0.0000 2.3886
La 7.1140 0.0000 2.3886
Ce 4.9631 3.2273 0.0000
Ce 4.9631 -3.2273 0.0000
S 2.4247 1.7496 0.0000
S 4.9631 5.2137 2.3886
S 4.9631 1.8151 2.3886
S 2.4247 -1.7496 0.0000
S 7.5015 1.7496 0.0000
S 4.9631 -1.8151 2.3886
S 4.9631 -5.2137 2.3886
S 7.5015 -1.7496 0.0000
```



No. 5
# Cd5Cu3
Simulated XRD peak list, Cu Kα (weighted mean of Kα1 and Kα2). Input: a structure optimized by DFT (GGA-PBE).
Intensities are scaled so that the largest is 100.

Most intense lines, 10° ≤ 2θ ≤ 80°, in order of rising 2θ:
2theta  Rel. int.
28.75  7.6
31.98  4.7
38.22  100.0
40.04  48.2
52.13  4.6
52.31  7.2
57.91  15.4
66.99  4.2
67.85  12.5
71.52  28.9

```
8
Lattice="3.1850 0.0000 0.0000 0.0000 3.1850 0.0000 0.0000 0.0000 13.9910" Properties=species:S:1:pos:R:3 pbc="T T T"
Cd 0.0000 0.0000 0.0000
Cd 0.0000 0.0000 3.2290
Cd 0.0000 0.0000 10.7620
Cd 1.5925 1.5925 5.3739
Cd 1.5925 1.5925 8.6170
Cu 0.0000 0.0000 6.9955
Cu 1.5925 1.5925 1.6000
Cu 1.5925 1.5925 12.3910
```



No. 6
# BaPuO4
Simulated XRD peak list, Cu Kα (weighted mean of Kα1 and Kα2). Input: a structure optimized by DFT (GGA-PBE).
Intensities are scaled so that the largest is 100.

Most intense lines, 10° ≤ 2θ ≤ 80°, in order of rising 2θ:
2theta  Rel. int.
15.31  18.8
21.72  14.4
26.54  100.0
26.68  86.1
30.78  54.8
30.89  28.8
43.91  16.0
44.19  51.7
52.13  29.1
52.38  49.3

```
24
Lattice="5.7888 0.0000 0.0000 0.0000 8.1833 0.0000 0.0000 0.0000 8.2471" Properties=species:S:1:pos:R:3 pbc="T T T"
Ba 0.1396 1.6146 2.0618
Ba 0.1396 2.4771 6.1853
Ba 5.6492 5.7062 2.0618
Ba 5.6492 6.5687 6.1853
Pu 2.8944 0.0000 0.0000
Pu 2.8944 0.0000 4.1235
Pu 2.8944 4.0916 0.0000
Pu 2.8944 4.0916 4.1235
O 1.1915 4.6941 4.6868
O 1.1915 4.6941 7.6838
O 1.1915 7.5808 0.5633
O 1.1915 7.5808 3.5602
O 2.0516 2.0458 0.0000
O 2.0516 2.0458 4.1235
O 2.2046 4.2981 2.0618
O 2.2046 7.9768 6.1853
O 3.5842 0.2065 2.0618
O 3.5842 3.8852 6.1853
O 3.7372 6.1375 0.0000
O 3.7372 6.1375 4.1235
O 4.5973 0.6025 4.6868
O 4.5973 0.6025 7.6838
O 4.5973 3.4892 0.5633
O 4.5973 3.4892 3.5602
```



No. 7
# HoMn5Si3
Simulated XRD peak list, Cu Kα (weighted mean of Kα1 and Kα2). Input: a structure optimized by DFT (GGA-PBE).
Intensities are scaled so that the largest is 100.

Most intense lines, 10° ≤ 2θ ≤ 80°, in order of rising 2θ:
2theta  Rel. int.
25.67  43.9
28.34  34.1
30.59  49.6
32.18  66.0
34.56  100.0
36.15  66.8
38.46  31.2
40.94  70.0
44.20  45.3
47.43  51.6

```
18
Lattice="1.9169 -6.0615 0.0000 1.9169 6.0615 0.0000 0.0000 0.0000 11.0549" Properties=species:S:1:pos:R:3 pbc="T T T"
Ho 1.9169 4.0111 8.2911
Ho 1.9169 -4.0111 2.7637
Mn 0.0000 0.0000 0.0000
Mn 0.0000 0.0000 5.5274
Mn 1.9169 3.7284 0.5937
Mn 1.9169 3.7284 4.9337
Mn 1.9169 0.7102 7.1642
Mn 1.9169 0.7102 9.4181
Mn 1.9169 -0.7102 1.6367
Mn 1.9169 -0.7102 3.8907
Mn 1.9169 -3.7284 6.1211
Mn 1.9169 -3.7284 10.4612
Si 1.9169 4.5625 2.7637
Si 1.9169 1.4261 0.6330
Si 1.9169 1.4261 4.8944
Si 1.9169 -1.4261 6.1604
Si 1.9169 -1.4261 10.4219
Si 1.9169 -4.5625 8.2911
```